Theoretical powder diffraction line list of CsK for copper Kα, from the GGA-PBE geometry in Alexandria.
No peak broadening, texture or thermal motion is included.

Atomic structure:
Cell lengths 8.092, 5.614, 8.108 Å; angles 90.00, 90.83, 90.00 degrees
Positions (direct):
Cs (0.241, 0.000, 0.261)
Cs (0.759, 0.000, 0.739)
K (0.262, 0.500, 0.766)
K (0.738, 0.500, 0.234)

Main lines, low angle first (10° ≤ 2θ ≤ 80°):
15.36°, I 28.8, (1 0 -1); 15.59°, I 29.0, (1 0 1); 15.79°, I 27.7, (0 1 0); 21.95°, I 100.0, (2 0 0); 22.09°, I 99.2, (1 1 -1); 22.25°, I 97.9, (1 1 1); 27.15°, I 31.1, (2 1 0); 38.50°, I 42.9, (3 1 -1); 38.79°, I 42.7, (3 1 1); 39.05°, I 42.8, (2 2 0)